Structure and simulated powder X-ray diffraction pattern of CaSi2SnF (the PBE geometry in Alexandria; CuKα).
Intensities are scaled so that the largest is 100.

The 8 most intense peaks (2θ from 10° to 90°), low angle first:
(1 0 0), 16.55 deg, I 100
(1 1 0), 23.48 deg, I 33
(1 1 1), 27.77 deg, I 70
(0 0 2), 29.46 deg, I 36
(2 0 0), 33.45 deg, I 50
(1 0 2), 33.98 deg, I 34
(2 1 0), 37.54 deg, I 26
(2 0 2), 45.17 deg, I 42

Crystal structure
```
CaSi2SnF
1.0
5.358 0.000 0.000
0.000 5.358 0.000
0.000 0.000 6.063
Ca Si Sn F
1 2 1 1
Direct
0.000 0.000 0.000
0.000 0.500 0.000
0.500 0.000 0.000
0.000 0.000 0.500
0.500 0.500 0.500
```